VPH5NO6: computed powder diffraction line list (Cu Kα (λ = 1.5418 Å)), based on a crystal structure in the Materials Project, relaxed with PBE+U.
Peak positions follow from Bragg's law for the DFT cell and can differ from measured ones.

Crystal structure
Lattice parameters (Å, degrees): 6.8795 9.1634 9.6637 90.00 90.00 90.00
Element x y z (fractional)
V1 0.0275 0.0098 0.0000
V2 0.4725 0.0098 0.5000
V3 0.5275 0.9902 0.0000
V4 0.9725 0.9902 0.5000
P1 0.2059 0.2962 0.4327
P2 0.2941 0.2962 0.9327
P3 0.7059 0.7038 0.4327
P4 0.7941 0.7038 0.9327
H1 0.1486 0.6633 0.7169
H2 0.1625 0.7791 0.2466
H3 0.1670 0.6091 0.3169
H4 0.1753 0.7412 0.8707
H5 0.2417 0.3872 0.1430
H6 0.2583 0.3872 0.6430
H7 0.3247 0.7412 0.3707
H8 0.3330 0.6091 0.8169
H9 0.3375 0.7791 0.7466
H10 0.3514 0.6633 0.2169
H11 0.6486 0.3367 0.7169
H12 0.6625 0.2209 0.2466
H13 0.6670 0.3909 0.3169
H14 0.6753 0.2588 0.8707
H15 0.7417 0.6128 0.1430
H16 0.7583 0.6128 0.6430
H17 0.8247 0.2588 0.3707
H18 0.8330 0.3909 0.8169
H19 0.8375 0.2209 0.7466
H20 0.8514 0.3367 0.2169
N1 0.2483 0.6977 0.2866
N2 0.2517 0.6977 0.7866
N3 0.7483 0.3023 0.2866
N4 0.7517 0.3023 0.7866
O1 0.0261 0.2003 0.4737
O2 0.0294 0.0196 0.1683
O3 0.1038 0.2044 0.9380
O4 0.1722 0.3714 0.2955
O5 0.2190 0.9542 0.4473
O6 0.2222 0.4206 0.5456
O7 0.2778 0.4206 0.0456
O8 0.2810 0.9542 0.9473
O9 0.3278 0.3714 0.7955
O10 0.3962 0.2044 0.4380
O11 0.4706 0.0196 0.6683
O12 0.4739 0.2003 0.9737
O13 0.5261 0.7997 0.4737
O14 0.5294 0.9804 0.1683
O15 0.6038 0.7956 0.9380
O16 0.6722 0.6286 0.2955
O17 0.7190 0.0458 0.4473
O18 0.7222 0.5794 0.5456
O19 0.7778 0.5794 0.0456
O20 0.7810 0.0458 0.9473
O21 0.8278 0.6286 0.7955
O22 0.8962 0.7956 0.4380
O23 0.9706 0.9804 0.6683
O24 0.9739 0.7997 0.9737

Principal peaks in the range 5 to 70 degrees two-theta, sorted by position:
2θ 9.7, rel. 1000, hkl 0 1 0; 2θ 16.1, rel. 411, hkl 1 1 0; 2θ 18.4, rel. 920, hkl 0 0 2; 2θ 20.8, rel. 524, hkl 0 1 2; 2θ 23.3, rel. 146, hkl 1 2 0; 2θ 24.5, rel. 345, hkl 1 1 2; 2θ 26.8, rel. 275, hkl 0 2 2; 2θ 27.7, rel. 540, hkl 2 1 0; 2θ 29.2, rel. 391, hkl 0 3 0; 2θ 32.6, rel. 147, hkl 2 2 0; 2θ 33.4, rel. 177, hkl 2 1 2; 2θ 37.2, rel. 218, hkl 0 0 4

---

V2PH8N2O8: computed powder diffraction line list (Cu Kα (λ = 1.5418 Å)), based on a crystal structure in the Materials Project, relaxed with PBE+U.
Peak positions follow from Bragg's law for the DFT cell and can differ from measured ones.

Crystal structure
Lattice parameters (Å, degrees): 5.7560 8.7206 8.7312 90.00 90.30 90.40
Element x y z (fractional)
V1 0.0000 0.0000 0.0000
V2 0.0000 0.4992 0.2429
V3 0.9953 0.6243 0.8627
V4 0.9990 0.1239 0.3805
P1 0.0072 0.2644 0.7359
P2 0.0072 0.7630 0.5078
H1 0.4181 0.2837 0.9359
H2 0.4182 0.3834 0.6155
H3 0.4176 0.8858 0.6232
H4 0.4194 0.5612 0.5285
H5 0.4230 0.6964 0.2173
H6 0.4240 0.9724 0.8006
H7 0.4282 0.3704 0.1139
H8 0.4278 0.8744 0.1312
H9 0.5491 0.4104 0.4428
H10 0.5527 0.1974 0.0863
H11 0.5537 0.0590 0.6516
H12 0.5575 0.8454 0.3043
H13 0.6672 0.4862 0.6018
H14 0.6676 0.8980 0.7254
H15 0.6695 0.3568 0.0083
H16 0.6701 0.7693 0.1434
N1 0.5129 0.4607 0.5462
N2 0.5155 0.9547 0.7002
N3 0.5165 0.3009 0.0357
N4 0.5192 0.7963 0.2002
O1 0.2707 0.2655 0.7435
O2 0.2707 0.7578 0.5082
O3 0.2782 0.6272 0.8682
O4 0.2826 0.1270 0.3751
O5 0.2909 0.4972 0.2353
O6 0.2908 0.9920 0.0033
O7 0.8825 0.8244 0.9447
O8 0.8840 0.5425 0.0636
O9 0.8868 0.3250 0.3007
O10 0.8880 0.0460 0.1776
O11 0.8939 0.7122 0.6605
O12 0.8951 0.4209 0.7754
O13 0.9010 0.2088 0.5829
O14 0.9016 0.9193 0.4632
O15 0.9080 0.1472 0.8618
O16 0.9081 0.6451 0.3820

Principal peaks in the range 5 to 70 degrees two-theta, sorted by position:
2θ 15.4, rel. 1000, hkl 1 0 0; 2θ 20.4, rel. 83, hkl 0 2 0; 2θ 22.8, rel. 421, hkl 0 1 2; 2θ 25.5, rel. 121, hkl 1 -2 0; 2θ 25.7, rel. 115, hkl 1 2 0; 2θ 27.5, rel. 392, hkl 1 1 -2; 2θ 27.7, rel. 292, hkl 1 -1 2; 2θ 27.7, rel. 97, hkl 1 2 1; 2θ 31.1, rel. 209, hkl 2 0 0; 2θ 32.4, rel. 293, hkl 0 3 -1; 2θ 36.0, rel. 92, hkl -1 3 1; 2θ 46.5, rel. 113, hkl 0 2 4

---

VP2H8N2O8: computed powder diffraction line list (Cu Kα (λ = 1.5418 Å)), based on a crystal structure in the Materials Project, relaxed with PBE+U.
Peak positions follow from Bragg's law for the DFT cell and can differ from measured ones.

Crystal structure
Lattice parameters (Å, degrees): 8.4257 8.4257 5.8112 90.00 90.00 90.00
Element x y z (fractional)
V1 0.0000 0.0000 0.0000
V2 0.5000 0.5000 0.0000
P1 0.1282 0.3718 0.0150
P2 0.3718 0.8718 0.0150
P3 0.6282 0.1282 0.0150
P4 0.8718 0.6282 0.0150
H1 0.0981 0.5981 0.5974
H2 0.1084 0.7491 0.4122
H3 0.2373 0.7373 0.6338
H4 0.2491 0.6084 0.4122
H5 0.2509 0.1084 0.4122
H6 0.2627 0.2373 0.6338
H7 0.3916 0.2491 0.4122
H8 0.4019 0.0981 0.5974
H9 0.5981 0.9019 0.5974
H10 0.6084 0.7509 0.4122
H11 0.7373 0.7627 0.6338
H12 0.7491 0.8916 0.4122
H13 0.7509 0.3916 0.4122
H14 0.7627 0.2627 0.6338
H15 0.8916 0.2509 0.4122
H16 0.9019 0.4019 0.5974
N1 0.1738 0.6738 0.5136
N2 0.3262 0.1738 0.5136
N3 0.6738 0.8262 0.5136
N4 0.8262 0.3262 0.5136
O1 0.0000 0.0000 0.2822
O2 0.0000 0.5000 0.9074
O3 0.0759 0.2151 0.8995
O4 0.1269 0.3731 0.2720
O5 0.2151 0.9241 0.8995
O6 0.2849 0.4241 0.8995
O7 0.3731 0.8731 0.2720
O8 0.4241 0.7151 0.8995
O9 0.5000 0.0000 0.9074
O10 0.5000 0.5000 0.2822
O11 0.5759 0.2849 0.8995
O12 0.6269 0.1269 0.2720
O13 0.7151 0.5759 0.8995
O14 0.7849 0.0759 0.8995
O15 0.8731 0.6269 0.2720
O16 0.9241 0.7849 0.8995

Principal peaks in the range 5 to 70 degrees two-theta, sorted by position:
2θ 15.2, rel. 1000, hkl 0 0 1; 2θ 21.1, rel. 115, hkl 2 0 0; 2θ 23.6, rel. 310, hkl 2 1 0; 2θ 26.1, rel. 296, hkl 2 0 1; 2θ 28.2, rel. 682, hkl 2 1 1; 2θ 30.8, rel. 195, hkl 0 0 2; 2θ 33.6, rel. 261, hkl 3 1 0; 2θ 37.1, rel. 179, hkl 3 1 1; 2θ 48.3, rel. 114, hkl 4 2 0; 2θ 51.0, rel. 87, hkl 4 2 1; 2θ 59.0, rel. 100, hkl 3 1 3; 2θ 62.3, rel. 81, hkl 4 4 0

---

VH10SNO9: computed powder diffraction line list (Cu Kα (λ = 1.5418 Å)), based on a crystal structure in the Materials Project, relaxed with PBE+U.
Peak positions follow from Bragg's law for the DFT cell and can differ from measured ones.

Crystal structure
Lattice parameters (Å, degrees): 6.2697 10.0049 6.7961 90.00 108.33 90.00
Element x y z (fractional)
V1 0.1107 0.0000 0.3856
V2 0.8893 0.5000 0.6144
H1 0.0327 0.7670 0.6673
H2 0.0875 0.6486 0.2590
H3 0.1191 0.6623 0.0220
H4 0.1869 0.2642 0.2553
H5 0.2634 0.2180 0.6920
H6 0.2798 0.5529 0.1967
H7 0.2929 0.0857 0.8195
H8 0.3194 0.7215 0.2290
H9 0.3845 0.3504 0.0689
H10 0.4620 0.8590 0.7004
H11 0.5380 0.3590 0.2996
H12 0.6155 0.8504 0.9311
H13 0.6806 0.2215 0.7710
H14 0.7071 0.5857 0.1805
H15 0.7202 0.0529 0.8033
H16 0.7366 0.7180 0.3080
H17 0.8131 0.7642 0.7447
H18 0.8809 0.1623 0.9780
H19 0.9125 0.1486 0.7410
H20 0.9673 0.2670 0.3327
S1 0.4313 0.5019 0.7308
S2 0.5687 0.0019 0.2692
N1 0.2026 0.6462 0.1779
N2 0.7974 0.1462 0.8221
O1 0.0331 0.9356 0.1520
O2 0.0575 0.2089 0.2683
O3 0.1728 0.8675 0.5477
O4 0.1962 0.5373 0.5941
O5 0.1983 0.1275 0.6895
O6 0.3793 0.3675 0.2093
O7 0.4284 0.0435 0.4047
O8 0.4477 0.3562 0.7689
O9 0.4934 0.5791 0.9225
O10 0.5066 0.0791 0.0775
O11 0.5523 0.8562 0.2311
O12 0.5716 0.5435 0.5953
O13 0.6207 0.8675 0.7907
O14 0.8017 0.6275 0.3105
O15 0.8038 0.0373 0.4059
O16 0.8272 0.3675 0.4523
O17 0.9425 0.7089 0.7317
O18 0.9669 0.4356 0.8480

Principal peaks in the range 5 to 70 degrees two-theta, sorted by position:
2θ 13.7, rel. 345, hkl 0 0 1; 2θ 16.3, rel. 1000, hkl 0 1 1; 2θ 17.7, rel. 680, hkl 0 2 0; 2θ 22.5, rel. 176, hkl 0 2 1; 2θ 23.3, rel. 98, hkl 1 0 1; 2θ 25.0, rel. 113, hkl 1 1 1; 2θ 27.7, rel. 110, hkl 0 0 2; 2θ 28.8, rel. 105, hkl 2 0 -1; 2θ 29.1, rel. 138, hkl 0 1 2; 2θ 30.2, rel. 703, hkl 0 3 1; 2θ 31.4, rel. 262, hkl 2 1 0; 2θ 38.6, rel. 139, hkl 2 2 -2

---

H8W3SeN2O12: computed powder diffraction line list (Cu Kα (λ = 1.5418 Å)), based on a crystal structure in the Materials Project, relaxed with PBE+U.
Peak positions follow from Bragg's law for the DFT cell and can differ from measured ones.

Crystal structure
Lattice parameters (Å, degrees): 7.3475 7.3475 12.5943 90.00 90.00 120.00
Element x y z (fractional)
H1 0.1807 0.5815 0.0000
H2 0.2550 0.5117 0.3881
H3 0.2567 0.7450 0.3881
H4 0.3333 0.6667 0.2791
H5 0.3333 0.6667 0.8893
H6 0.4008 0.8193 0.0000
H7 0.4185 0.5992 0.0000
H8 0.4883 0.7433 0.3881
H9 0.5117 0.2567 0.8881
H10 0.5815 0.4008 0.5000
H11 0.5992 0.1807 0.5000
H12 0.6667 0.3333 0.3893
H13 0.6667 0.3333 0.7791
H14 0.7433 0.2550 0.8881
H15 0.7450 0.4883 0.8881
H16 0.8193 0.4185 0.5000
W1 0.1647 0.3389 0.6318
W2 0.1742 0.8353 0.6318
W3 0.3389 0.1742 0.1318
W4 0.6611 0.8258 0.6318
W5 0.8258 0.1647 0.1318
W6 0.8353 0.6611 0.1318
Se1 0.0000 0.0000 0.4029
Se2 0.0000 0.0000 0.9029
N1 0.3333 0.6667 0.3604
N2 0.3333 0.6667 0.9717
N3 0.6667 0.3333 0.4717
N4 0.6667 0.3333 0.8604
O1 0.0846 0.5446 0.5860
O2 0.1204 0.2491 0.4616
O3 0.1220 0.2486 0.1421
O4 0.1266 0.8780 0.1421
O5 0.1287 0.8796 0.4616
O6 0.1966 0.4047 0.7676
O7 0.2081 0.8034 0.7676
O8 0.2486 0.1266 0.6421
O9 0.2491 0.1287 0.9616
O10 0.4047 0.2081 0.2676
O11 0.4554 0.5400 0.5860
O12 0.4600 0.9154 0.5860
O13 0.5400 0.0846 0.0860
O14 0.5446 0.4600 0.0860
O15 0.5953 0.7919 0.7676
O16 0.7509 0.8713 0.4616
O17 0.7514 0.8734 0.1421
O18 0.7919 0.1966 0.2676
O19 0.8034 0.5953 0.2676
O20 0.8713 0.1204 0.9616
O21 0.8734 0.1220 0.6421
O22 0.8780 0.7514 0.6421
O23 0.8796 0.7509 0.9616
O24 0.9154 0.4554 0.0860

Principal peaks in the range 5 to 70 degrees two-theta, sorted by position:
2θ 13.9, rel. 335, hkl 1 0 0; 2θ 14.1, rel. 970, hkl 0 0 2; 2θ 15.6, rel. 609, hkl 1 0 1; 2θ 28.1, rel. 514, hkl 1 1 2; 2θ 28.3, rel. 287, hkl 0 0 4; 2θ 28.9, rel. 1000, hkl 2 0 1; 2θ 31.5, rel. 336, hkl 2 0 2; 2θ 35.4, rel. 319, hkl 2 0 3; 2θ 46.0, rel. 254, hkl 2 0 5; 2θ 49.6, rel. 243, hkl 2 2 0; 2θ 51.8, rel. 206, hkl 2 2 2; 2θ 58.1, rel. 224, hkl 2 2 4

---

H8W3SeN2O12: computed powder diffraction line list (Cu Kα (λ = 1.5418 Å)), based on a crystal structure in the Materials Project, relaxed with PBE+U.
Peak positions follow from Bragg's law for the DFT cell and can differ from measured ones.

Crystal structure
Lattice parameters (Å, degrees): 7.3492 7.3492 12.5725 90.00 90.00 120.00
Element x y z (fractional)
H1 0.1805 0.5837 0.0000
H2 0.2548 0.5117 0.3866
H3 0.2569 0.7452 0.3866
H4 0.3333 0.6667 0.2774
H5 0.3333 0.6667 0.8891
H6 0.4032 0.8195 0.0000
H7 0.4163 0.5968 0.0000
H8 0.4883 0.7431 0.3866
H9 0.5117 0.2569 0.8866
H10 0.5837 0.4032 0.5000
H11 0.5968 0.1805 0.5000
H12 0.6667 0.3333 0.3891
H13 0.6667 0.3333 0.7774
H14 0.7431 0.2548 0.8866
H15 0.7452 0.4883 0.8866
H16 0.8195 0.4163 0.5000
W1 0.1673 0.3389 0.6318
W2 0.1716 0.8327 0.6318
W3 0.3389 0.1716 0.1318
W4 0.6611 0.8284 0.6318
W5 0.8284 0.1673 0.1318
W6 0.8327 0.6611 0.1318
Se1 0.0000 0.0000 0.4025
Se2 0.0000 0.0000 0.9025
N1 0.3333 0.6667 0.3589
N2 0.3333 0.6667 0.9716
N3 0.6667 0.3333 0.4716
N4 0.6667 0.3333 0.8589
O1 0.0846 0.5434 0.5859
O2 0.1216 0.2491 0.4613
O3 0.1232 0.2486 0.1421
O4 0.1254 0.8768 0.1421
O5 0.1275 0.8784 0.4613
O6 0.1998 0.4048 0.7678
O7 0.2050 0.8002 0.7678
O8 0.2486 0.1254 0.6421
O9 0.2491 0.1275 0.9613
O10 0.4048 0.2050 0.2678
O11 0.4566 0.5411 0.5859
O12 0.4589 0.9154 0.5859
O13 0.5411 0.0846 0.0859
O14 0.5434 0.4589 0.0859
O15 0.5952 0.7950 0.7678
O16 0.7509 0.8725 0.4613
O17 0.7514 0.8746 0.1421
O18 0.7950 0.1998 0.2678
O19 0.8002 0.5952 0.2678
O20 0.8725 0.1216 0.9613
O21 0.8746 0.1232 0.6421
O22 0.8768 0.7514 0.6421
O23 0.8784 0.7509 0.9613
O24 0.9154 0.4566 0.0859

Principal peaks in the range 5 to 70 degrees two-theta, sorted by position:
2θ 13.9, rel. 334, hkl 1 0 0; 2θ 14.1, rel. 963, hkl 0 0 2; 2θ 15.6, rel. 607, hkl 1 0 1; 2θ 28.1, rel. 513, hkl 1 1 2; 2θ 28.4, rel. 285, hkl 0 0 4; 2θ 28.9, rel. 1000, hkl 2 0 1; 2θ 31.5, rel. 335, hkl 2 0 2; 2θ 35.4, rel. 318, hkl 2 0 3; 2θ 46.0, rel. 254, hkl 2 0 5; 2θ 49.6, rel. 244, hkl 2 2 0; 2θ 51.8, rel. 206, hkl 2 2 2; 2θ 58.2, rel. 225, hkl 2 2 4